Structure and theoretical PXRD pattern of Sr4MgIn2Sb2O12 (the GGA-PBE geometry in the Materials Project; λ = 1.5418 Å (Cu Kα)).
Lines closer than 0.1° are merged.

Crystal structure
```
Sr4MgIn2Sb2O12
1.0
5.8322 0.0000 0.0000
0.0935 5.9729 0.0000
0.3192 1.6227 9.5980
Sr Mg In Sb O
4 1 2 2 12
Cartesian
0.0000 0.0000 0.0000
0.3093 1.7849 5.8306
2.9569 4.5045 5.7837
3.3933 4.6302 9.5533
5.6270 5.0881 3.9315
2.7698 6.3323 2.3770
6.1026 4.6321 7.7279
3.1534 1.6016 7.7334
5.8769 2.6122 2.1917
0.3701 4.2502 5.5827
0.7856 0.6864 3.5729
1.6490 6.3117 7.5050
1.5108 1.7141 1.2708
1.8610 3.1698 7.9713
2.8555 5.4845 0.1336
3.1606 1.9883 5.8030
3.7411 4.9381 3.5024
4.4596 5.9832 7.4083
4.3821 1.4671 1.6854
4.7168 2.8935 8.0190
5.6085 3.5505 0.3690
```

Most intense lines, 10° ≤ 2θ ≤ 90°, by angle:
d 3.388, 26.30°, intensity 29, (1 1 2); d 3.285, 27.15°, intensity 25, (-1 1 2); d 2.989, 29.89°, intensity 70, (1 -1 2); d 2.952, 30.28°, intensity 100, (1 1 -2); d 2.945, 30.35°, intensity 25, (0 2 0); d 2.914, 30.68°, intensity 70, (2 0 0); d 2.728, 32.83°, intensity 43, (1 1 3); d 2.653, 33.79°, intensity 43, (-1 1 3); d 2.096, 43.15°, intensity 27, (2 2 1); d 2.055, 44.06°, intensity 19, (-2 2 1); d 1.920, 47.36°, intensity 24, (0 0 5); d 1.746, 52.41°, intensity 17, (1 3 3)